This entry pairs a crystal structure of Mg4P5 with its simulated powder diffraction line list. Radiation: Cu Ka. Structure: DFT lattice parameters and positions (PBE).
Kinematic intensities with the Lorentz-polarization factor, no thermal factor.

Peak list (12 most intense, 2θ from 5° to 70°, low angle first)
hkl	d/Å	I_rel
1 1 0	8.007	100.0
2 0 0	5.661	58.0
1 0 1	3.055	13.2
4 0 0	2.831	51.6
3 0 1	2.429	62.9
3 2 1	2.232	58.1
5 1 0	2.221	24.4
4 1 1	2.076	14.8
4 3 1	1.843	12.8
5 2 1	1.753	23.3
5 5 0	1.601	17.4
7 2 1	1.397	16.7

Structural model:
```
data_Mg4P5
_cell_length_a 11.3229
_cell_length_b 11.3229
_cell_length_c 3.1727
_cell_angle_alpha 90.00
_cell_angle_beta 90.00
_cell_angle_gamma 90.00
_symmetry_space_group_name_H-M 'I 4/m m m'
_symmetry_Int_Tables_number 139
_symmetry_space_group_name_Hall '-I 4 2'
loop_
_atom_site_label
_atom_site_type_symbol
_atom_site_fract_x
_atom_site_fract_y
_atom_site_fract_z
Mg1 Mg 0.0000 0.2250 0.0000
P1 P 0.0000 0.0000 0.0000
P2 P 0.1997 0.1997 0.5000
```

---

This entry pairs a crystal structure of Mg3P2 with its simulated powder diffraction line list. Radiation: Cu Ka. Structure: DFT lattice parameters and positions (PBE).
Kinematic intensities with the Lorentz-polarization factor, no thermal factor.

Peak list (12 most intense, 2θ from 5° to 70°, low angle first)
hkl	d/Å	I_rel
2 1 1	4.927	18.1
2 2 2	3.484	67.8
3 1 2	3.225	15.4
3 3 2	2.573	22.3
4 3 1	2.367	5.7
4 4 0	2.133	100.0
6 2 2	1.819	21.6
6 3 1	1.779	9.1
7 1 2	1.642	12.5
7 3 2	1.533	7.5
8 0 0	1.508	12.5
6 6 2	1.384	7.7

Structural model:
```
data_Mg3P2
_cell_length_a 12.0676
_cell_length_b 12.0676
_cell_length_c 12.0676
_cell_angle_alpha 90.00
_cell_angle_beta 90.00
_cell_angle_gamma 90.00
_symmetry_space_group_name_H-M 'I a -3'
_symmetry_Int_Tables_number 206
_symmetry_space_group_name_Hall '-I 2b 2c 3'
loop_
_atom_site_label
_atom_site_type_symbol
_atom_site_fract_x
_atom_site_fract_y
_atom_site_fract_z
Mg1 Mg 0.1037 0.1365 0.6297
P1 P 0.0000 0.0000 0.0000
P2 P 0.0000 0.2500 0.2738
```

---

This entry pairs a crystal structure of Mg3P5 with its simulated powder diffraction line list. Radiation: Cu Ka. Structure: DFT lattice parameters and positions (PBE).
Kinematic intensities with the Lorentz-polarization factor, no thermal factor.

Peak list (12 most intense, 2θ from 5° to 70°, low angle first)
hkl	d/Å	I_rel
0 0 1	7.256	31.5
1 1 -1	3.747	42.1
0 0 2	3.632	100.0
-2 1 1	3.373	52.0
2 0 0	3.055	52.2
-1 2 1	2.949	44.7
2 0 -2	2.785	44.1
1 -3 1	2.341	37.2
1 -2 3	2.169	46.6
2 0 2	2.053	67.8
3 0 0	2.036	32.2
-4 1 1	1.739	29.2

Structural model:
```
data_Mg3P5
_cell_length_a 7.0907
_cell_length_b 7.0928
_cell_length_c 7.7432
_cell_angle_alpha 100.78
_cell_angle_beta 100.72
_cell_angle_gamma 115.42
_symmetry_space_group_name_H-M 'P 1'
_symmetry_Int_Tables_number 1
loop_
_symmetry_equiv_pos_as_xyz
'x,y,z'
loop_
_atom_site_label
_atom_site_type_symbol
_atom_site_fract_x
_atom_site_fract_y
_atom_site_fract_z
Mg1 Mg 0.0000 0.0000 0.0000
Mg2 Mg 0.0047 0.2992 0.5810
Mg3 Mg 0.2238 0.6922 0.2279
Mg4 Mg 0.2994 0.0047 0.5809
Mg5 Mg 0.5626 0.5629 0.4881
Mg6 Mg 0.6924 0.2238 0.2286
P1 P 0.1263 0.7278 0.7767
P2 P 0.1268 0.3202 0.2952
P3 P 0.2447 0.2448 0.8468
P4 P 0.3200 0.1264 0.2950
P5 P 0.3423 0.6082 0.9146
P6 P 0.6082 0.3426 0.9150
P7 P 0.6247 0.9533 0.4737
P8 P 0.6479 0.6479 0.8445
P9 P 0.7278 0.1265 0.7770
P10 P 0.9532 0.6246 0.4736
```

---

This entry pairs a crystal structure of Mg2P with its simulated powder diffraction line list. Radiation: Cu Ka. Structure: DFT lattice parameters and positions (PBE).
Kinematic intensities with the Lorentz-polarization factor, no thermal factor.

Peak list (12 most intense, 2θ from 5° to 70°, low angle first)
hkl	d/Å	I_rel
0 2 0	8.433	66.8
0 2 1	3.976	66.1
1 3 0	3.292	46.7
1 5 0	2.595	19.3
0 0 2	2.250	100.0
2 0 0	2.031	18.1
1 7 1	1.883	15.3
1 3 2	1.860	16.0
2 2 1	1.809	12.3
1 5 2	1.702	10.3
0 10 1	1.580	11.6
2 0 2	1.509	13.3

Structural model:
```
data_Mg2P
_cell_length_a 4.0617
_cell_length_b 16.8667
_cell_length_c 4.5081
_cell_angle_alpha 90.00
_cell_angle_beta 90.00
_cell_angle_gamma 90.00
_symmetry_space_group_name_H-M 'C m c m'
_symmetry_Int_Tables_number 63
_symmetry_space_group_name_Hall '-C 2c 2'
loop_
_atom_site_label
_atom_site_type_symbol
_atom_site_fract_x
_atom_site_fract_y
_atom_site_fract_z
Mg1 Mg 0.0000 0.0689 0.2500
Mg2 Mg 0.0000 0.2656 0.2500
P1 P 0.0000 0.3342 0.7500
```

---

This entry pairs a crystal structure of MgP with its simulated powder diffraction line list. Radiation: Cu Ka. Structure: DFT lattice parameters and positions (PBE).
Kinematic intensities with the Lorentz-polarization factor, no thermal factor.

Peak list (12 most intense, 2θ from 5° to 70°, low angle first)
hkl	d/Å	I_rel
1 0 1	4.107	100.0
1 1 0	3.765	22.9
1 1 1	3.252	61.0
2 0 0	2.662	12.0
1 1 2	2.450	89.2
2 1 0	2.381	33.3
2 0 2	2.054	46.3
2 1 2	1.916	32.8
2 2 1	1.807	19.1
3 0 1	1.711	16.8
3 1 0	1.684	36.6
0 0 4	1.614	13.5

Structural model:
```
data_MgP
_cell_length_a 5.3247
_cell_length_b 5.3247
_cell_length_c 6.4540
_cell_angle_alpha 90.00
_cell_angle_beta 90.00
_cell_angle_gamma 90.00
_symmetry_space_group_name_H-M 'P 42/m n m'
_symmetry_Int_Tables_number 136
_symmetry_space_group_name_Hall '-P 4n 2n'
loop_
_atom_site_label
_atom_site_type_symbol
_atom_site_fract_x
_atom_site_fract_y
_atom_site_fract_z
Mg1 Mg 0.0000 0.5000 0.2500
P1 P 0.1485 0.1485 0.0000
```

---

This entry pairs a crystal structure of MgP with its simulated powder diffraction line list. Radiation: Cu Ka. Structure: DFT lattice parameters and positions (PBE).
Kinematic intensities with the Lorentz-polarization factor, no thermal factor.

Peak list (12 most intense, 2θ from 5° to 70°, low angle first)
hkl	d/Å	I_rel
0 1 2	3.563	6.5
1 1 0	3.351	74.2
0 2 1	2.762	8.8
2 0 2	2.441	13.6
1 1 3	2.239	100.0
1 2 2	1.973	7.1
3 0 0	1.934	47.6
0 1 5	1.724	10.1
2 2 0	1.675	8.4
2 2 3	1.464	19.3
1 2 5	1.394	8.4
1 1 6	1.373	5.0

Structural model:
```
data_MgP
_cell_length_a 6.7011
_cell_length_b 6.7011
_cell_length_c 9.0290
_cell_angle_alpha 90.00
_cell_angle_beta 90.00
_cell_angle_gamma 120.00
_symmetry_space_group_name_H-M 'R 3 2'
_symmetry_Int_Tables_number 155
_symmetry_space_group_name_Hall 'R 3 2"'
loop_
_atom_site_label
_atom_site_type_symbol
_atom_site_fract_x
_atom_site_fract_y
_atom_site_fract_z
Mg1 Mg 0.0000 0.6265 0.0000
P1 P 0.0000 0.0000 0.1227
P2 P 0.0000 0.0000 0.5000
```

---

This entry pairs a crystal structure of Mg5PPd6 with its simulated powder diffraction line list. Radiation: Cu Ka. Structure: DFT lattice parameters and positions (PBE).
Kinematic intensities with the Lorentz-polarization factor, no thermal factor.

Peak list (12 most intense, 2θ from 5° to 70°, low angle first)
hkl	d/Å	I_rel
0 0 1	6.522	1.9
0 0 2	3.261	25.8
1 3 0	3.105	46.0
1 3 2	2.249	100.0
2 0 0	2.195	46.9
2 0 2	1.821	18.7
1 3 3	1.781	1.8
0 0 4	1.630	8.6
2 6 0	1.552	14.9
1 3 4	1.444	7.9
2 6 2	1.402	7.5
3 3 0	1.389	7.4

Structural model:
```
data_Mg5PPd6
_cell_length_a 4.3940
_cell_length_b 13.1627
_cell_length_c 6.5220
_cell_angle_alpha 90.00
_cell_angle_beta 90.00
_cell_angle_gamma 90.00
_symmetry_space_group_name_H-M 'C m m m'
_symmetry_Int_Tables_number 65
_symmetry_space_group_name_Hall '-C 2 2'
loop_
_atom_site_label
_atom_site_type_symbol
_atom_site_fract_x
_atom_site_fract_y
_atom_site_fract_z
Mg1 Mg 0.0000 0.0000 0.0000
Mg2 Mg 0.0000 0.3303 0.0000
Mg3 Mg 0.0000 0.3304 0.5000
P1 P 0.0000 0.0000 0.5000
Pd1 Pd 0.0000 0.1589 0.2612
Pd2 Pd 0.0000 0.5000 0.2644
```

---

This entry pairs a crystal structure of Mg3P2Pd3 with its simulated powder diffraction line list. Radiation: Cu Ka. Structure: DFT lattice parameters and positions (PBE).
Kinematic intensities with the Lorentz-polarization factor, no thermal factor.

Peak list (12 most intense, 2θ from 5° to 70°, low angle first)
hkl	d/Å	I_rel
0 2 0	7.288	53.5
1 0 1	4.208	52.1
0 4 0	3.644	58.3
0 3 1	3.569	41.9
2 0 0	3.507	36.1
1 3 1	3.181	39.6
2 4 0	2.527	62.1
1 0 2	2.463	73.0
2 4 1	2.278	63.1
3 0 1	2.136	72.3
1 4 2	2.040	100.0
1 7 1	1.866	44.5

Structural model:
```
data_Mg3P2Pd3
_cell_length_a 7.0133
_cell_length_b 14.5753
_cell_length_c 5.2607
_cell_angle_alpha 90.00
_cell_angle_beta 90.00
_cell_angle_gamma 90.00
_symmetry_space_group_name_H-M 'P n m a'
_symmetry_Int_Tables_number 62
loop_
_symmetry_equiv_pos_as_xyz
'x,y,z'
'-x,-y,-z'
'-x+1/2,-y,z+1/2'
'x+1/2,y,-z+1/2'
'x+1/2,-y+1/2,-z+1/2'
'-x+1/2,y+1/2,z+1/2'
'-x,y+1/2,-z'
'x,-y+1/2,z'
loop_
_atom_site_label
_atom_site_type_symbol
_atom_site_fract_x
_atom_site_fract_y
_atom_site_fract_z
Mg1 Mg 0.0266 0.1132 0.1212
Mg2 Mg 0.1807 0.2500 0.6052
P1 P 0.1208 0.6148 0.3658
Pd1 Pd 0.1772 0.0259 0.6014
Pd2 Pd 0.1822 0.7500 0.6141
```